No. 1
For Sc7As3, a PBE-relaxed structure gives the calculated X-ray diffraction stick pattern in this record (CuKα).
Lines closer than 0.1° are merged.

Peak list (10 most intense, 2θ = 5–70°, low angle first)
2theta	I (rel.)
26.20	16
33.34	15
34.52	100
35.17	19
35.65	24
36.27	37
37.38	34
38.89	55
43.84	21
45.03	28

Cell and atoms:
abc: 10.9714 10.9714 10.9714
angles: 97.74 97.74 136.94
Sites, in units of the cell vectors:
Sc: 0.0196 0.6714 0.6909
Sc: 0.0284 0.8645 0.5000
Sc: 0.1194 0.1250 0.2444
Sc: 0.1250 0.8806 0.0056
Sc: 0.1355 0.6355 0.1639
Sc: 0.1714 0.5196 0.6909
Sc: 0.2500 0.2500 0.0000
Sc: 0.2500 0.7500 0.5000
Sc: 0.3286 0.0196 0.3482
Sc: 0.3645 0.5284 0.5000
Sc: 0.3750 0.3806 0.7556
Sc: 0.3806 0.6250 0.0056
Sc: 0.4716 0.9716 0.8361
Sc: 0.4804 0.1714 0.6518
Sc: 0.5196 0.8286 0.3482
Sc: 0.5284 0.0284 0.1639
Sc: 0.6194 0.3750 0.9944
Sc: 0.6250 0.6194 0.2444
Sc: 0.6355 0.4716 0.5000
Sc: 0.6714 0.9804 0.6518
Sc: 0.7500 0.2500 0.5000
Sc: 0.7500 0.7500 0.0000
Sc: 0.8286 0.4804 0.3091
Sc: 0.8645 0.3645 0.8361
Sc: 0.8750 0.1194 0.9944
Sc: 0.8806 0.8750 0.7556
Sc: 0.9716 0.1355 0.5000
Sc: 0.9804 0.3286 0.3091
As: 0.0555 0.2500 0.8055
As: 0.2206 0.7206 0.9412
As: 0.2500 0.0555 0.8055
As: 0.2500 0.4445 0.1945
As: 0.2794 0.2206 0.5000
As: 0.4445 0.2500 0.1945
As: 0.5555 0.7500 0.8055
As: 0.7206 0.7794 0.5000
As: 0.7500 0.5555 0.8055
As: 0.7500 0.9445 0.1945
As: 0.7794 0.2794 0.0588
As: 0.9445 0.7500 0.1945

No. 2
For Sc5Mo2, a PBE-relaxed structure gives the calculated X-ray diffraction stick pattern in this record (CuKα).
Lines closer than 0.1° are merged.

Peak list (10 most intense, 2θ = 5–70°, low angle first)
2theta	I (rel.)
6.10	100
12.21	19
35.24	51
39.47	39
39.96	5
41.45	4
44.36	10
49.68	4
57.03	8
68.84	13

Cell and atoms:
abc: 14.6750 14.6750 14.6750
angles: 167.36 167.36 17.91
Sites, in units of the cell vectors:
Sc: 0.0000 0.0000 0.0000
Sc: 0.1645 0.1645 0.0000
Sc: 0.4215 0.4215 0.0000
Sc: 0.5785 0.5785 0.0000
Sc: 0.8355 0.8355 0.0000
Mo: 0.2741 0.2741 0.0000
Mo: 0.7259 0.7259 0.0000

No. 3
For La6Pr2Er5, a PBE-relaxed structure gives the calculated X-ray diffraction stick pattern in this record (CuKα).
Lines closer than 0.1° are merged.

Peak list (10 most intense, 2θ = 5–70°, low angle first)
2theta	I (rel.)
28.60	30
29.90	30
29.97	65
30.89	83
31.04	30
31.17	74
31.44	100
33.51	54
34.29	37
35.68	31

Cell and atoms:
abc: 12.0508 20.6786 3.6532
angles: 90.00 90.00 90.00
Sites, in units of the cell vectors:
La: 0.0416 0.0780 0.0000
La: 0.0709 0.3621 0.0000
La: 0.1861 0.6216 0.5000
La: 0.3139 0.1216 0.5000
La: 0.4291 0.8621 0.0000
La: 0.4584 0.5780 0.0000
La: 0.5416 0.4220 0.0000
La: 0.5709 0.1379 0.0000
La: 0.6861 0.8784 0.5000
La: 0.8139 0.3784 0.5000
La: 0.9291 0.6379 0.0000
La: 0.9584 0.9220 0.0000
Pr: 0.1657 0.7834 0.0000
Pr: 0.3343 0.2834 0.0000
Pr: 0.6657 0.7166 0.0000
Pr: 0.8343 0.2166 0.0000
Er: 0.0000 0.5000 0.5000
Er: 0.0941 0.2215 0.5000
Er: 0.2121 0.9441 0.5000
Er: 0.2879 0.4441 0.5000
Er: 0.4059 0.7215 0.5000
Er: 0.5000 0.0000 0.5000
Er: 0.5941 0.2785 0.5000
Er: 0.7121 0.5559 0.5000
Er: 0.7879 0.0559 0.5000
Er: 0.9059 0.7785 0.5000

No. 4
For TaV3Mo, a PBE-relaxed structure gives the calculated X-ray diffraction stick pattern in this record (CuKα).
Lines closer than 0.1° are merged.

Peak list (10 most intense, 2θ = 5–70°, low angle first)
2theta	I (rel.)
13.89	13
23.17	13
26.77	19
29.44	6
32.40	13
40.81	26
41.09	100
41.70	24
59.26	8
59.77	18

Cell and atoms:
abc: 6.7963 6.7963 5.4083
angles: 97.78 97.78 37.17
Sites, in units of the cell vectors:
Ta: 0.1996 0.1996 0.1421
Ta: 0.8004 0.8004 0.8579
V: 0.0015 0.0015 0.7525
V: 0.1954 0.1954 0.6410
V: 0.4057 0.4057 0.0532
V: 0.5943 0.5943 0.9468
V: 0.8046 0.8046 0.3590
V: 0.9985 0.9985 0.2475
Mo: 0.4003 0.4003 0.5504
Mo: 0.5997 0.5997 0.4496

No. 5
For LaTb3PrTm, a PBE-relaxed structure gives the calculated X-ray diffraction stick pattern in this record (CuKα).
Lines closer than 0.1° are merged.

Peak list (10 most intense, 2θ = 5–70°, low angle first)
2theta	I (rel.)
15.56	1
30.12	58
31.78	100
43.12	22
47.91	8
54.55	43
57.64	17
62.55	4
62.69	4
66.40	11

Cell and atoms:
abc: 6.4243 6.4243 11.8554
angles: 90.00 90.00 124.92
Sites, in units of the cell vectors:
La: 0.0089 0.9911 0.7500
La: 0.9911 0.0089 0.2500
Tb: 0.1754 0.8246 0.0064
Tb: 0.1754 0.8246 0.4936
Tb: 0.3252 0.6748 0.7500
Tb: 0.6748 0.3252 0.2500
Tb: 0.8246 0.1754 0.5064
Tb: 0.8246 0.1754 0.9936
Pr: 0.5000 0.5000 0.0000
Pr: 0.5000 0.5000 0.5000
Tm: 0.3313 0.6687 0.2500
Tm: 0.6687 0.3313 0.7500

No. 6
For Zr3Ti4Zn4, a PBE-relaxed structure gives the calculated X-ray diffraction stick pattern in this record (CuKα).
Lines closer than 0.1° are merged.

Peak list (10 most intense, 2θ = 5–70°, low angle first)
2theta	I (rel.)
28.72	27
33.29	100
37.35	53
44.53	29
50.89	34
53.86	14
56.72	14
59.48	20
67.37	8
69.90	12

Cell and atoms:
abc: 6.5929 6.5929 6.5929
angles: 109.47 109.47 109.47
Sites, in units of the cell vectors:
Zr: 0.0000 0.5000 0.5000
Zr: 0.5000 0.0000 0.5000
Zr: 0.5000 0.5000 0.0000
Ti: 0.0000 0.0000 0.2486
Ti: 0.0000 0.2486 0.0000
Ti: 0.2486 0.0000 0.0000
Ti: 0.7514 0.7514 0.7514
Zn: 0.0000 0.0000 0.6103
Zn: 0.0000 0.6103 0.0000
Zn: 0.3897 0.3897 0.3897
Zn: 0.6103 0.0000 0.0000

No. 7
For U3SnTe8, a PBE-relaxed structure gives the calculated X-ray diffraction stick pattern in this record (CuKα).
Lines closer than 0.1° are merged.

Peak list (10 most intense, 2θ = 5–70°, low angle first)
2theta	I (rel.)
12.45	58
13.22	40
23.85	24
26.62	89
30.16	100
34.57	33
39.60	48
41.19	73
45.10	23
67.89	30

Cell and atoms:
abc: 8.7663 8.7663 14.2201
angles: 90.00 90.00 120.00
Sites, in units of the cell vectors:
U: 0.1662 0.3324 0.0000
U: 0.1662 0.8338 0.0000
U: 0.3324 0.1662 0.5000
U: 0.6676 0.8338 0.0000
U: 0.8338 0.1662 0.5000
U: 0.8338 0.6676 0.5000
Sn: 0.3333 0.6667 0.2375
Sn: 0.6667 0.3333 0.7375
Te: 0.0000 0.0000 0.1211
Te: 0.0000 0.0000 0.6211
Te: 0.0034 0.5017 0.1188
Te: 0.1591 0.3183 0.3855
Te: 0.1591 0.8409 0.3855
Te: 0.3183 0.1591 0.8855
Te: 0.3333 0.6667 0.8799
Te: 0.4983 0.5017 0.1188
Te: 0.4983 0.9966 0.1188
Te: 0.5017 0.0034 0.6188
Te: 0.5017 0.4983 0.6188
Te: 0.6667 0.3333 0.3799
Te: 0.6817 0.8409 0.3855
Te: 0.8409 0.1591 0.8855
Te: 0.8409 0.6817 0.8855
Te: 0.9966 0.4983 0.6188

No. 8
For HoErMgPb, a PBE-relaxed structure gives the calculated X-ray diffraction stick pattern in this record (CuKα).
Lines closer than 0.1° are merged.

Peak list (10 most intense, 2θ = 5–70°, low angle first)
2theta	I (rel.)
20.39	23
23.58	4
33.59	100
39.62	13
41.46	1
48.25	18
52.89	6
54.38	2
60.07	38
64.13	5

Cell and atoms:
abc: 5.3353 5.3353 5.3353
angles: 60.00 60.00 60.00
Sites, in units of the cell vectors:
Ho: 0.0000 0.0000 0.0000
Er: 0.5000 0.5000 0.5000
Mg: 0.7500 0.7500 0.7500
Pb: 0.2500 0.2500 0.2500

No. 9
For ZnCd12Hg3, a PBE-relaxed structure gives the calculated X-ray diffraction stick pattern in this record (CuKα).
Lines closer than 0.1° are merged.

Peak list (10 most intense, 2θ = 5–70°, low angle first)
2theta	I (rel.)
33.71	100
35.67	87
39.81	30
40.10	32
40.95	30
55.10	11
58.43	19
58.65	20
67.59	13
69.97	11

Cell and atoms:
abc: 4.5132 4.4079 18.1788
angles: 90.00 94.80 90.00
Sites, in units of the cell vectors:
Zn: 0.0000 0.0000 0.0000
Cd: 0.0021 0.5000 0.6276
Cd: 0.0142 0.5000 0.1154
Cd: 0.4923 0.0000 0.8832
Cd: 0.4971 0.0000 0.3724
Cd: 0.4986 0.5000 0.2451
Cd: 0.5000 0.5000 0.0000
Cd: 0.5000 0.5000 0.5000
Cd: 0.5014 0.5000 0.7549
Cd: 0.5029 0.0000 0.6276
Cd: 0.5077 0.0000 0.1168
Cd: 0.9858 0.5000 0.8846
Cd: 0.9979 0.5000 0.3724
Hg: 0.0000 0.0000 0.5000
Hg: 0.0021 0.0000 0.7557
Hg: 0.9979 0.0000 0.2443

No. 10
For SrThWN4, a PBE-relaxed structure gives the calculated X-ray diffraction stick pattern in this record (CuKα).
Lines closer than 0.1° are merged.

Peak list (10 most intense, 2θ = 5–70°, low angle first)
2theta	I (rel.)
13.58	11
21.01	18
30.54	100
31.70	29
32.24	28
41.49	20
45.84	26
55.74	19
56.43	21
63.56	12

Cell and atoms:
abc: 7.1072 7.1072 5.5539
angles: 90.00 90.00 133.20
Sites, in units of the cell vectors:
Sr: 0.1040 0.8960 0.7500
Sr: 0.8960 0.1040 0.2500
Th: 0.3970 0.6030 0.7500
Th: 0.6030 0.3970 0.2500
W: 0.2342 0.7658 0.2500
W: 0.7658 0.2342 0.7500
N: 0.0000 0.5000 0.0000
N: 0.0000 0.5000 0.5000
N: 0.0905 0.9095 0.2500
N: 0.4314 0.5686 0.2500
N: 0.5000 0.0000 0.0000
N: 0.5000 0.0000 0.5000
N: 0.5686 0.4314 0.7500
N: 0.9095 0.0905 0.7500

No. 11
For La4Pr2NdDy, a PBE-relaxed structure gives the calculated X-ray diffraction stick pattern in this record (CuKα).
Lines closer than 0.1° are merged.

Peak list (10 most intense, 2θ = 5–70°, low angle first)
2theta	I (rel.)
29.57	100
34.01	17
34.20	17
34.61	16
49.00	12
49.31	12
58.15	15
58.40	15
58.94	14
61.38	13

Cell and atoms:
abc: 5.2437 5.2719 10.3674
angles: 90.00 90.07 90.00
Sites, in units of the cell vectors:
La: 0.9997 0.0000 0.2484
La: 0.0003 0.0000 0.7516
La: 0.4991 0.5000 0.2477
La: 0.5009 0.5000 0.7523
Pr: 0.0000 0.5000 0.5000
Pr: 0.5000 0.0000 0.0000
Nd: 0.5000 0.0000 0.5000
Dy: 0.0000 0.5000 0.0000

No. 12
For Cd3Cu2Au5, a PBE-relaxed structure gives the calculated X-ray diffraction stick pattern in this record (CuKα).
Lines closer than 0.1° are merged.

Peak list (10 most intense, 2θ = 5–70°, low angle first)
2theta	I (rel.)
21.20	27
30.17	28
34.54	20
37.18	100
39.69	35
40.88	45
43.18	49
60.08	24
62.74	19
67.05	16

Cell and atoms:
abc: 9.3621 9.3621 4.1917
angles: 90.00 90.00 90.00
Sites, in units of the cell vectors:
Cd: 0.0000 0.0000 0.0000
Cd: 0.1717 0.3283 0.0000
Cd: 0.3283 0.8283 0.0000
Cd: 0.5000 0.5000 0.0000
Cd: 0.6717 0.1717 0.0000
Cd: 0.8283 0.6717 0.0000
Cu: 0.1222 0.6222 0.0000
Cu: 0.3778 0.1222 0.0000
Cu: 0.6222 0.8778 0.0000
Cu: 0.8778 0.3778 0.0000
Au: 0.0000 0.5000 0.5000
Au: 0.0843 0.8004 0.5000
Au: 0.1996 0.0843 0.5000
Au: 0.3004 0.5843 0.5000
Au: 0.4157 0.3004 0.5000
Au: 0.5000 0.0000 0.5000
Au: 0.5843 0.6996 0.5000
Au: 0.6996 0.4157 0.5000
Au: 0.8004 0.9157 0.5000
Au: 0.9157 0.1996 0.5000